1.
Sc11Co4Cu9: calculated powder diffraction line list (copper Kα), based on a structure optimized by DFT (PBE).

Main lines, by angle (2θ from 15° to 90°):
d (Å)	Position (°2θ)	intensity
3.284	27.2	8
2.485	36.2	8
2.437	36.9	7
2.400	37.5	7
2.280	39.5	100
2.240	40.3	49
2.142	42.2	8
2.079	43.5	7
1.642	56.0	13
1.324	71.2	16

Lattice parameters (Å, degrees): 11.4110 11.4110 3.2844 90.00 90.00 112.38
Element x y z (fractional)
Sc 0.0000 0.0000 0.0000
Sc 0.0788 0.4151 0.0000
Sc 0.1680 0.8320 0.0000
Sc 0.2867 0.2867 0.0000
Sc 0.3668 0.6332 0.0000
Sc 0.4151 0.0788 0.0000
Sc 0.5849 0.9212 0.0000
Sc 0.6332 0.3668 0.0000
Sc 0.7133 0.7133 0.0000
Sc 0.8320 0.1680 0.0000
Sc 0.9212 0.5849 0.0000
Co 0.2597 0.4485 0.5000
Co 0.4485 0.2597 0.5000
Co 0.5515 0.7403 0.5000
Co 0.7403 0.5515 0.5000
Cu 0.0611 0.2116 0.5000
Cu 0.1581 0.6303 0.5000
Cu 0.2116 0.0611 0.5000
Cu 0.3697 0.8419 0.5000
Cu 0.5000 0.5000 0.5000
Cu 0.6303 0.1581 0.5000
Cu 0.7884 0.9389 0.5000
Cu 0.8419 0.3697 0.5000
Cu 0.9389 0.7884 0.5000

***

2.
Sc6CoCu: calculated powder diffraction line list (copper Kα), based on a structure optimized by DFT (PBE).

Main lines, by angle (2θ from 15° to 90°):
d (Å)	Position (°2θ)	intensity
2.500	35.9	100
2.284	39.4	47
2.194	41.1	6
2.040	44.4	16
1.974	46.0	9
1.684	54.5	8
1.615	57.0	15
1.493	62.2	10
1.357	69.3	25
1.266	75.0	6

Lattice parameters (Å, degrees): 4.5689 4.5689 15.7845 90.00 90.00 90.00
Element x y z (fractional)
Sc 0.0000 0.0000 0.2483
Sc 0.0000 0.0000 0.7517
Sc 0.0000 0.5000 0.0973
Sc 0.0000 0.5000 0.4027
Sc 0.0000 0.5000 0.5973
Sc 0.0000 0.5000 0.9027
Sc 0.5000 0.0000 0.0973
Sc 0.5000 0.0000 0.4027
Sc 0.5000 0.0000 0.5973
Sc 0.5000 0.0000 0.9027
Sc 0.5000 0.5000 0.2517
Sc 0.5000 0.5000 0.7483
Co 0.0000 0.0000 0.0000
Co 0.5000 0.5000 0.5000
Cu 0.0000 0.0000 0.5000
Cu 0.5000 0.5000 0.0000